# Rb5Tl6
Calculated X-ray diffraction stick pattern, Cu Kα (λ = 1.5418 Å). Input: a GGA-PBE-relaxed structure.
Intensities are scaled so that the largest is 100.

Peak list (10 most intense, 5° ≤ 2θ ≤ 70°, by intensity)
2θ = 25.40°, I 100
2θ = 12.14°, I 83
2θ = 13.41°, I 75
2θ = 11.06°, I 71
2θ = 34.12°, I 58
2θ = 32.76°, I 41
2θ = 30.30°, I 35
2θ = 31.10°, I 34
2θ = 24.21°, I 32
2θ = 36.71°, I 31

Atomic structure:
Cell lengths 8.769, 8.769, 8.661 Å; angles 101.41, 101.41, 118.00 degrees
Atoms (fractional coordinates):
Rb1 0.000 0.000 0.000
Rb2 0.156 0.844 0.500
Rb3 0.317 0.683 0.000
Rb4 0.683 0.317 0.000
Rb5 0.844 0.156 0.500
Tl1 0.205 0.444 0.325
Tl2 0.380 0.380 0.644
Tl3 0.444 0.205 0.325
Tl4 0.556 0.795 0.675
Tl5 0.620 0.620 0.356
Tl6 0.795 0.556 0.675